Entry 1:
This entry pairs a crystal structure of CuPdPtO6 with its calculated XRD peak list. Radiation: Cu Kα (weighted mean of Kα1 and Kα2). Structure: a DFT-relaxed cell (GGA-PBE, Alexandria).
Neutral-atom scattering factors, no anomalous dispersion.

Peak list (10 most intense, 2θ = 5–70°, low angle first)
two_theta, I_rel, index
19.8, 19.3, 1 0 0
20.8, 39.7, 0 0 2
22.4, 19.2, 1 0 1
28.9, 100.0, 1 0 2
34.7, 65.3, 1 1 0
40.8, 49.8, 1 1 2
45.7, 28.3, 2 0 2
55.8, 54.6, 2 -1 4
58.7, 26.5, 2 1 2
62.2, 23.0, 3 0 0

Crystal structure
abc: 5.1698 5.1698 8.5537
angles: 90.00 90.00 120.00
Element x y z (fractional)
Cu 0.0000 0.0000 0.0000
Cu 0.0000 0.0000 0.5000
Pd 0.3333 0.6667 0.2500
Pd 0.6667 0.3333 0.7500
Pt 0.3333 0.6667 0.7500
Pt 0.6667 0.3333 0.2500
O 0.0027 0.3507 0.6221
O 0.0027 0.6520 0.8779
O 0.3480 0.3507 0.8779
O 0.3480 0.9973 0.6221
O 0.3507 0.0027 0.1221
O 0.3507 0.3480 0.3779
O 0.6493 0.6520 0.6221
O 0.6493 0.9973 0.8779
O 0.6520 0.0027 0.3779
O 0.6520 0.6493 0.1221
O 0.9973 0.3480 0.1221
O 0.9973 0.6493 0.3779

***

Entry 2:
This entry pairs a crystal structure of ErCu2 with its calculated XRD peak list. Radiation: Cu Kα (weighted mean of Kα1 and Kα2). Structure: a DFT-relaxed cell (GGA-PBE, Alexandria).
Neutral-atom scattering factors, no anomalous dispersion.

Peak list (10 most intense, 2θ = 5–70°, low angle first)
two_theta, I_rel, index
24.2, 23.0, 1 0 1
35.0, 34.9, 1 1 2
36.0, 100.0, 1 2 1
36.2, 40.3, 0 2 2
39.4, 11.8, 0 1 3
41.9, 13.9, 0 3 1
42.3, 31.3, 2 0 0
42.9, 41.5, 1 0 3
56.9, 21.5, 2 2 2
69.9, 17.1, 1 3 4

Crystal structure
abc: 4.2688 6.7779 7.2822
angles: 90.00 90.00 90.00
Element x y z (fractional)
Er 0.0000 0.2500 0.0431
Er 0.0000 0.7500 0.9569
Er 0.5000 0.2500 0.4569
Er 0.5000 0.7500 0.5431
Cu 0.0000 0.0500 0.6651
Cu 0.0000 0.4500 0.6651
Cu 0.0000 0.5500 0.3349
Cu 0.0000 0.9500 0.3349
Cu 0.5000 0.0500 0.8349
Cu 0.5000 0.4500 0.8349
Cu 0.5000 0.5500 0.1651
Cu 0.5000 0.9500 0.1651